Structure and simulated powder diffraction line list of Fe2CoC (DFT lattice parameters and positions (PBE); Cu Kα (λ = 1.5418 Å)).
Lines closer than 0.1° are merged.

Principal peaks in the range 15 to 90 degrees two-theta, by angle:
43.53°, d 2.079, I = 57, hkl 2 1 1
44.11°, d 2.053, I = 50, hkl 1 0 2
45.28°, d 2.003, I = 49, hkl 2 2 0
45.47°, d 1.995, I = 100, hkl 0 3 1
46.26°, d 1.962, I = 53, hkl 1 1 2
49.84°, d 1.830, I = 41, hkl 2 2 1

Crystal structure
a = 5.0064 Å, b = 6.6758 Å, c = 4.5022 Å
α = 90.00°, β = 90.00°, γ = 90.00°
Element x y z (fractional)
Fe 0.1783 0.0693 0.1679
Fe 0.1783 0.4307 0.1679
Fe 0.3217 0.5693 0.6679
Fe 0.3217 0.9307 0.6679
Fe 0.6783 0.0693 0.3321
Fe 0.6783 0.4307 0.3321
Fe 0.8217 0.5693 0.8321
Fe 0.8217 0.9307 0.8321
Co 0.0360 0.2500 0.6570
Co 0.4640 0.7500 0.1570
Co 0.5360 0.2500 0.8430
Co 0.9640 0.7500 0.3430
C 0.1257 0.7500 0.9511
C 0.3743 0.2500 0.4511
C 0.6257 0.7500 0.5489
C 0.8743 0.2500 0.0489